Structure and simulated powder diffractogram of Ag2TeSe4 (the GGA-PBE geometry in Alexandria; Cu Kα X-rays).
Peak positions follow from Bragg's law for the DFT cell and can differ from measured ones.

Structural model:
Cell lengths 6.073, 14.770, 4.004 Å; angles 90.00, 90.00, 90.00 degrees
Fractional coordinates of all 14 atoms:
Ag 0.059 0.225 0.000
Ag 0.441 0.725 0.000
Ag 0.559 0.275 0.000
Ag 0.941 0.775 0.000
Te 0.000 0.500 0.500
Te 0.500 0.000 0.500
Se 0.148 0.949 0.000
Se 0.150 0.678 0.500
Se 0.350 0.178 0.500
Se 0.352 0.449 0.000
Se 0.648 0.551 0.000
Se 0.650 0.822 0.500
Se 0.850 0.322 0.500
Se 0.852 0.051 0.000

Most intense lines, 10 to 80 degrees two-theta, in order of falling intensity:
| 2theta | d (Å) | Rel. int. |
| --- | --- | --- |
| 27.35 | 3.261 | 100.0 |
| 39.18 | 2.299 | 55.4 |
| 28.29 | 3.155 | 48.1 |
| 40.76 | 2.214 | 47.3 |
| 24.10 | 3.692 | 41.2 |
| 45.28 | 2.003 | 38.3 |

Structure and simulated powder diffractogram of Ag8TeSe6 (the GGA-PBE geometry in Alexandria; Cu Kα X-rays).
Peak positions follow from Bragg's law for the DFT cell and can differ from measured ones.

Structural model:
Cell lengths 8.647, 7.756, 10.717 Å; angles 90.00, 90.00, 90.00 degrees
Fractional coordinates of all 30 atoms:
Ag 0.000 0.079 0.000
Ag 0.000 0.218 0.427
Ag 0.202 0.039 0.218
Ag 0.220 0.667 0.098
Ag 0.223 0.600 0.809
Ag 0.277 0.400 0.309
Ag 0.280 0.333 0.598
Ag 0.298 0.961 0.718
Ag 0.500 0.782 0.927
Ag 0.500 0.921 0.500
Ag 0.702 0.961 0.718
Ag 0.720 0.333 0.598
Ag 0.723 0.400 0.309
Ag 0.777 0.600 0.809
Ag 0.780 0.667 0.098
Ag 0.798 0.039 0.218
Te 0.000 0.740 0.423
Te 0.500 0.260 0.923
Se 0.000 0.307 0.190
Se 0.000 0.496 0.593
Se 0.000 0.752 0.945
Se 0.000 0.972 0.594
Se 0.196 0.243 0.836
Se 0.304 0.757 0.336
Se 0.500 0.028 0.094
Se 0.500 0.248 0.445
Se 0.500 0.504 0.093
Se 0.500 0.693 0.690
Se 0.696 0.757 0.336
Se 0.804 0.243 0.836

Most intense lines, 10 to 80 degrees two-theta, in order of falling intensity:
| 2theta | d (Å) | Rel. int. |
| --- | --- | --- |
| 26.49 | 3.364 | 100.0 |
| 46.23 | 1.964 | 52.1 |
| 35.72 | 2.514 | 50.5 |
| 40.16 | 2.245 | 46.8 |
| 41.78 | 2.162 | 41.1 |
| 28.41 | 3.142 | 39.6 |